The following is a calculated XRD peak list of SrSn3Pd. It was derived from DFT lattice parameters and positions (PBE), using Cu Kα X-rays.
Peak positions follow from Bragg's law for the DFT cell and can differ from measured ones.

The 10 most intense peaks (2θ = 10–90°), most intense first:
| 2theta | Rel. int. |
| --- | --- |
| 30.28 | 100.0 |
| 36.79 | 72.6 |
| 41.13 | 42.1 |
| 29.84 | 36.1 |
| 62.27 | 26.7 |
| 53.01 | 25.7 |
| 48.06 | 21.6 |
| 43.93 | 20.1 |
| 69.21 | 18.8 |
| 58.60 | 17.2 |

Cell and atoms:
Unit cell a=6.6504 b=6.6504 c=6.6504 alpha=136.89 beta=136.89 gamma=62.60
Sites, in units of the cell vectors:
Sr1 0.0000 0.0000 0.0000
Sn1 0.2517 0.7517 0.5000
Sn2 0.5881 0.5881 0.0000
Sn3 0.7517 0.2517 0.5000
Pd1 0.3561 0.3561 0.0000

=====

The following is a calculated XRD peak list of CsAlAgF6. It was derived from DFT lattice parameters and positions (PBE), using Cu Kα X-rays.
Peak positions follow from Bragg's law for the DFT cell and can differ from measured ones.

The 10 most intense peaks (2θ = 10–90°), most intense first:
| 2theta | Rel. int. |
| --- | --- |
| 27.82 | 100.0 |
| 23.86 | 50.7 |
| 28.13 | 48.8 |
| 28.30 | 48.0 |
| 48.84 | 47.8 |
| 24.23 | 32.7 |
| 27.98 | 31.3 |
| 29.64 | 28.2 |
| 37.34 | 27.7 |
| 44.91 | 23.5 |

Cell and atoms:
Unit cell a=7.5757 b=7.3467 c=10.5487 alpha=90.00 beta=90.00 gamma=90.00
Sites, in units of the cell vectors:
Cs1 0.0208 0.2500 0.1340
Cs2 0.4792 0.7500 0.6340
Cs3 0.5208 0.2500 0.3660
Cs4 0.9792 0.7500 0.8660
Al1 0.0000 0.0000 0.5000
Al2 0.0000 0.5000 0.5000
Al3 0.5000 0.0000 0.0000
Al4 0.5000 0.5000 0.0000
Ag1 0.2156 0.2500 0.7541
Ag2 0.2844 0.7500 0.2541
Ag3 0.7156 0.2500 0.7459
Ag4 0.7844 0.7500 0.2459
F1 0.0358 0.2500 0.4946
F2 0.0373 0.7500 0.1687
F3 0.1321 0.5129 0.6447
F4 0.1321 0.9871 0.6447
F5 0.2004 0.5298 0.4069
F6 0.2004 0.9702 0.4069
F7 0.2996 0.0298 0.9069
F8 0.2996 0.4702 0.9069
F9 0.3679 0.0129 0.1447
F10 0.3679 0.4871 0.1447
F11 0.4627 0.2500 0.6687
F12 0.4642 0.7500 0.9946
F13 0.5358 0.2500 0.0054
F14 0.5373 0.7500 0.3313
F15 0.6321 0.5129 0.8553
F16 0.6321 0.9871 0.8553
F17 0.7004 0.5298 0.0931
F18 0.7004 0.9702 0.0931
F19 0.7996 0.0298 0.5931
F20 0.7996 0.4702 0.5931
F21 0.8679 0.0129 0.3553
F22 0.8679 0.4871 0.3553
F23 0.9627 0.2500 0.8313
F24 0.9642 0.7500 0.5054